# 1
ZrInTe4Au3: computed powder diffraction line list (Cu Kα (weighted mean of Kα1 and Kα2)), based on a crystal structure in OQMD, relaxed with GGA-PBE.
No peak broadening, texture or thermal motion is included.

```
data_ZrInTe4Au3
_chemical_formula_sum 'Zr1 In1 Te4 Au3'
_space_group_name_H-M_alt 'P 1'
_space_group_IT_number 1
_cell_length_a 6.7107
_cell_length_b 6.7107
_cell_length_c 6.7107
_cell_angle_alpha 90.00
_cell_angle_beta 90.00
_cell_angle_gamma 90.00
loop_
_space_group_symop_operation_xyz
'x,y,z'
loop_
_atom_site_label
_atom_site_type_symbol
_atom_site_fract_x
_atom_site_fract_y
_atom_site_fract_z
_atom_site_occupancy
Zr1 Zr 0.0000 0.0000 0.0000 1
In1 In 0.5000 0.5000 0.5000 1
Te1 Te 0.2363 0.2363 0.7637 1
Te2 Te 0.2363 0.7637 0.2363 1
Te3 Te 0.7637 0.2363 0.2363 1
Te4 Te 0.7637 0.7637 0.7637 1
Au1 Au 0.0000 0.0000 0.5000 1
Au2 Au 0.0000 0.5000 0.0000 1
Au3 Au 0.5000 0.0000 0.0000 1
```

Top 6 peaks for 5° ≤ 2θ ≤ 70°, in order of falling intensity:
2theta	I_rel
37.92	100
22.95	91
44.79	46
68.50	34
60.10	19
13.19	18


# 2
Rb3As4HAu2O14: computed powder diffraction line list (Cu Kα (weighted mean of Kα1 and Kα2)), based on a crystal structure in OQMD, relaxed with GGA-PBE.
No peak broadening, texture or thermal motion is included.

```
data_Rb3As4HAu2O14
_chemical_formula_sum 'Rb3 As4 H1 Au2 O14'
_space_group_name_H-M_alt 'P 1'
_space_group_IT_number 1
_cell_length_a 5.7877
_cell_length_b 5.9396
_cell_length_c 13.0374
_cell_angle_alpha 90.33
_cell_angle_beta 101.44
_cell_angle_gamma 118.20
loop_
_space_group_symop_operation_xyz
'x,y,z'
loop_
_atom_site_label
_atom_site_type_symbol
_atom_site_fract_x
_atom_site_fract_y
_atom_site_fract_z
_atom_site_occupancy
Rb1 Rb 0.0000 0.0000 0.0000 1
Rb2 Rb 0.2086 0.8561 0.5711 1
Rb3 Rb 0.7914 0.1439 0.4289 1
As1 As 0.4111 0.4611 0.3478 1
As2 As 0.4341 0.7035 0.1399 1
As3 As 0.5659 0.2965 0.8601 1
As4 As 0.5889 0.5389 0.6522 1
H1 H 0.5000 0.5000 0.0000 1
Au1 Au 0.0044 0.7331 0.2704 1
Au2 Au 0.9956 0.2669 0.7296 1
O1 O 0.2262 0.1036 0.8149 1
O2 O 0.2418 0.3628 0.6169 1
O3 O 0.2717 0.6438 0.3803 1
O4 O 0.2740 0.8667 0.1664 1
O5 O 0.2902 0.1738 0.3923 1
O6 O 0.3268 0.4165 0.2046 1
O7 O 0.3505 0.5846 0.0101 1
O8 O 0.6495 0.4154 0.9899 1
O9 O 0.6732 0.5835 0.7954 1
O10 O 0.7098 0.8262 0.6077 1
O11 O 0.7260 0.1333 0.8336 1
O12 O 0.7283 0.3562 0.6197 1
O13 O 0.7582 0.6372 0.3831 1
O14 O 0.7738 0.8964 0.1851 1
```

Top 6 peaks for 5° ≤ 2θ ≤ 70°, in order of falling intensity:
2theta	I_rel
30.93	100
29.74	74
19.18	67
29.24	58
17.67	50
13.95	41


# 3
K3RbCd2Pb2: computed powder diffraction line list (Cu Kα (weighted mean of Kα1 and Kα2)), based on a crystal structure in OQMD, relaxed with GGA-PBE.
No peak broadening, texture or thermal motion is included.

```
data_K3RbCd2Pb2
_chemical_formula_sum 'K3 Rb1 Cd2 Pb2'
_space_group_name_H-M_alt 'P 1'
_space_group_IT_number 1
_cell_length_a 7.0434
_cell_length_b 6.6418
_cell_length_c 7.1197
_cell_angle_alpha 90.00
_cell_angle_beta 104.23
_cell_angle_gamma 90.00
loop_
_space_group_symop_operation_xyz
'x,y,z'
loop_
_atom_site_label
_atom_site_type_symbol
_atom_site_fract_x
_atom_site_fract_y
_atom_site_fract_z
_atom_site_occupancy
K1 K 0.0000 0.0000 0.0000 1
K2 K 0.2979 0.5000 0.2952 1
K3 K 0.6503 0.5000 0.9487 1
Rb1 Rb 0.3524 0.0000 0.6518 1
Cd1 Cd 0.8232 0.2504 0.4742 1
Cd2 Cd 0.8232 0.7496 0.4742 1
Pb1 Pb 0.0959 0.5000 0.7476 1
Pb2 Pb 0.5558 0.0000 0.1963 1
```

Top 6 peaks for 5° ≤ 2θ ≤ 70°, in order of falling intensity:
2theta	I_rel
18.60	100
15.86	89
29.23	63
29.43	59
33.97	51
29.89	37


# 4
NdHoSbBr2: computed powder diffraction line list (Cu Kα (weighted mean of Kα1 and Kα2)), based on a crystal structure in OQMD, relaxed with GGA-PBE.
No peak broadening, texture or thermal motion is included.

```
data_NdHoSbBr2
_chemical_formula_sum 'Nd1 Ho1 Sb1 Br2'
_space_group_name_H-M_alt 'P 1'
_space_group_IT_number 1
_cell_length_a 4.2805
_cell_length_b 4.2805
_cell_length_c 10.9321
_cell_angle_alpha 90.00
_cell_angle_beta 90.00
_cell_angle_gamma 120.00
loop_
_space_group_symop_operation_xyz
'x,y,z'
loop_
_atom_site_label
_atom_site_type_symbol
_atom_site_fract_x
_atom_site_fract_y
_atom_site_fract_z
_atom_site_occupancy
Nd1 Nd 0.0000 0.0000 0.0000 1
Ho1 Ho 0.3333 0.6667 0.3225 1
Sb1 Sb 0.6667 0.3333 0.1697 1
Br1 Br 0.0000 0.0000 0.4755 1
Br2 Br 0.3333 0.6667 0.8363 1
```

Top 6 peaks for 5° ≤ 2θ ≤ 70°, in order of falling intensity:
2theta	I_rel
29.11	100
8.09	78
41.03	38
42.23	36
52.10	19
69.22	17


# 5
ErMgAl4Pt2: computed powder diffraction line list (Cu Kα (weighted mean of Kα1 and Kα2)), based on a crystal structure in OQMD, relaxed with GGA-PBE.
No peak broadening, texture or thermal motion is included.

```
data_ErMgAl4Pt2
_chemical_formula_sum 'Er1 Mg1 Al4 Pt2'
_space_group_name_H-M_alt 'P 1'
_space_group_IT_number 1
_cell_length_a 5.8257
_cell_length_b 7.6154
_cell_length_c 7.6154
_cell_angle_alpha 36.51
_cell_angle_beta 90.00
_cell_angle_gamma 90.00
loop_
_space_group_symop_operation_xyz
'x,y,z'
loop_
_atom_site_label
_atom_site_type_symbol
_atom_site_fract_x
_atom_site_fract_y
_atom_site_fract_z
_atom_site_occupancy
Er1 Er 0.0000 0.0000 0.0000 1
Mg1 Mg 0.0000 0.7752 0.7752 1
Al1 Al 0.2530 0.6000 0.6000 1
Al2 Al 0.2882 0.3047 0.3047 1
Al3 Al 0.7118 0.3047 0.3047 1
Al4 Al 0.7470 0.6000 0.6000 1
Pt1 Pt 0.0000 0.1793 0.1793 1
Pt2 Pt 0.0000 0.4284 0.4284 1
```

Top 6 peaks for 5° ≤ 2θ ≤ 70°, in order of falling intensity:
2theta	I_rel
15.21	100
19.59	30
39.58	27
40.87	26
48.28	24
24.90	22


# 6
Nb4Bi5Ir5: computed powder diffraction line list (Cu Kα (weighted mean of Kα1 and Kα2)), based on a crystal structure in OQMD, relaxed with GGA-PBE.
No peak broadening, texture or thermal motion is included.

```
data_Nb4Bi5Ir5
_chemical_formula_sum 'Nb4 Bi5 Ir5'
_space_group_name_H-M_alt 'P 1'
_space_group_IT_number 1
_cell_length_a 7.7488
_cell_length_b 7.7488
_cell_length_c 7.7488
_cell_angle_alpha 99.76
_cell_angle_beta 99.76
_cell_angle_gamma 131.38
loop_
_space_group_symop_operation_xyz
'x,y,z'
loop_
_atom_site_label
_atom_site_type_symbol
_atom_site_fract_x
_atom_site_fract_y
_atom_site_fract_z
_atom_site_occupancy
Nb1 Nb 0.0895 0.6908 0.7935 1
Nb2 Nb 0.3092 0.1028 0.3987 1
Nb3 Nb 0.7040 0.9105 0.6013 1
Nb4 Nb 0.8972 0.2960 0.2065 1
Bi1 Bi 0.0000 0.0000 0.0000 1
Bi2 Bi 0.2369 0.4285 0.6399 1
Bi3 Bi 0.4030 0.7631 0.1916 1
Bi4 Bi 0.5715 0.2114 0.8084 1
Bi5 Bi 0.7886 0.5970 0.3601 1
Ir1 Ir 0.0005 0.3277 0.8917 1
Ir2 Ir 0.2500 0.7500 0.5000 1
Ir3 Ir 0.4360 0.1088 0.1083 1
Ir4 Ir 0.6723 0.5640 0.6728 1
Ir5 Ir 0.8912 0.9995 0.3272 1
```

Top 6 peaks for 5° ≤ 2θ ≤ 70°, in order of falling intensity:
2theta	I_rel
40.18	100
24.33	90
40.39	48
47.71	25
47.34	17
58.45	13


# 7
Cs2Re2Se5: computed powder diffraction line list (Cu Kα (weighted mean of Kα1 and Kα2)), based on a crystal structure in OQMD, relaxed with GGA-PBE.
No peak broadening, texture or thermal motion is included.

```
data_Cs2Re2Se5
_chemical_formula_sum 'Cs12 Re12 Se30'
_space_group_name_H-M_alt 'P 1'
_space_group_IT_number 1
_cell_length_a 13.0242
_cell_length_b 13.0242
_cell_length_c 13.0242
_cell_angle_alpha 68.53
_cell_angle_beta 68.53
_cell_angle_gamma 68.53
loop_
_space_group_symop_operation_xyz
'x,y,z'
loop_
_atom_site_label
_atom_site_type_symbol
_atom_site_fract_x
_atom_site_fract_y
_atom_site_fract_z
_atom_site_occupancy
Cs1 Cs 0.0288 0.7969 0.6329 1
Cs2 Cs 0.1329 0.2969 0.5288 1
Cs3 Cs 0.2031 0.3671 0.9712 1
Cs4 Cs 0.2969 0.5288 0.1329 1
Cs5 Cs 0.3671 0.9712 0.2031 1
Cs6 Cs 0.4712 0.8671 0.7031 1
Cs7 Cs 0.5288 0.1329 0.2969 1
Cs8 Cs 0.6329 0.0288 0.7969 1
Cs9 Cs 0.7031 0.4712 0.8671 1
Cs10 Cs 0.7969 0.6329 0.0288 1
Cs11 Cs 0.8671 0.7031 0.4712 1
Cs12 Cs 0.9712 0.2031 0.3671 1
Re1 Re 0.0483 0.9269 0.1342 1
Re2 Re 0.0731 0.8658 0.9517 1
Re3 Re 0.1342 0.0483 0.9269 1
Re4 Re 0.3658 0.5731 0.4517 1
Re5 Re 0.4269 0.5483 0.6342 1
Re6 Re 0.4517 0.3658 0.5731 1
Re7 Re 0.5483 0.6342 0.4269 1
Re8 Re 0.5731 0.4517 0.3658 1
Re9 Re 0.6342 0.4269 0.5483 1
Re10 Re 0.8658 0.9517 0.0731 1
Re11 Re 0.9269 0.1342 0.0483 1
Re12 Re 0.9517 0.0731 0.8658 1
Se1 Se 0.0121 0.2461 0.8459 1
Se2 Se 0.1052 0.1052 0.1052 1
Se3 Se 0.1178 0.8535 0.3196 1
Se4 Se 0.1465 0.6804 0.8822 1
Se5 Se 0.1541 0.9879 0.7539 1
Se6 Se 0.1804 0.6465 0.3822 1
Se7 Se 0.2461 0.8459 0.0121 1
Se8 Se 0.2500 0.2500 0.2500 1
Se9 Se 0.2539 0.4879 0.6541 1
Se10 Se 0.3196 0.1178 0.8535 1
Se11 Se 0.3459 0.7461 0.5121 1
Se12 Se 0.3535 0.6178 0.8196 1
Se13 Se 0.3822 0.1804 0.6465 1
Se14 Se 0.3948 0.3948 0.3948 1
Se15 Se 0.4879 0.6541 0.2539 1
Se16 Se 0.5121 0.3459 0.7461 1
Se17 Se 0.6052 0.6052 0.6052 1
Se18 Se 0.6178 0.8196 0.3535 1
Se19 Se 0.6465 0.3822 0.1804 1
Se20 Se 0.6541 0.2539 0.4879 1
Se21 Se 0.6804 0.8822 0.1465 1
Se22 Se 0.7461 0.5121 0.3459 1
Se23 Se 0.7500 0.7500 0.7500 1
Se24 Se 0.7539 0.1541 0.9879 1
Se25 Se 0.8196 0.3535 0.6178 1
Se26 Se 0.8459 0.0121 0.2461 1
Se27 Se 0.8535 0.3196 0.1178 1
Se28 Se 0.8822 0.1465 0.6804 1
Se29 Se 0.8948 0.8948 0.8948 1
Se30 Se 0.9879 0.7539 0.1541 1
```

Top 6 peaks for 5° ≤ 2θ ≤ 70°, in order of falling intensity:
2theta	I_rel
9.16	100
12.07	38
43.28	26
28.07	21
48.60	13
13.82	13


# 8
Re4PbO9: computed powder diffraction line list (Cu Kα (weighted mean of Kα1 and Kα2)), based on a crystal structure in OQMD, relaxed with GGA-PBE.
No peak broadening, texture or thermal motion is included.

```
data_Re4PbO9
_chemical_formula_sum 'Re4 Pb1 O9'
_space_group_name_H-M_alt 'P 1'
_space_group_IT_number 1
_cell_length_a 4.8258
_cell_length_b 6.3431
_cell_length_c 6.7481
_cell_angle_alpha 117.64
_cell_angle_beta 98.25
_cell_angle_gamma 99.89
loop_
_space_group_symop_operation_xyz
'x,y,z'
loop_
_atom_site_label
_atom_site_type_symbol
_atom_site_fract_x
_atom_site_fract_y
_atom_site_fract_z
_atom_site_occupancy
Re1 Re 0.0000 0.0000 0.0000 1
Re2 Re 0.1528 0.4571 0.0236 1
Re3 Re 0.3431 0.5742 0.5686 1
Re4 Re 0.5588 0.2323 0.1031 1
Pb1 Pb 0.9396 0.9436 0.4657 1
O1 O 0.0978 0.7846 0.1224 1
O2 O 0.2340 0.4666 0.7652 1
O3 O 0.2871 0.9213 0.7916 1
O4 O 0.3236 0.2368 0.3382 1
O5 O 0.5046 0.5896 0.2782 1
O6 O 0.6837 0.9827 0.1541 1
O7 O 0.7383 0.7246 0.7178 1
O8 O 0.7744 0.2292 0.8627 1
O9 O 0.9884 0.5093 0.3240 1
```

Top 6 peaks for 5° ≤ 2θ ≤ 70°, in order of falling intensity:
2theta	I_rel
32.08	100
28.71	72
33.58	69
30.95	62
15.87	55
38.16	40


# 9
DyY2Fe3Co6: computed powder diffraction line list (Cu Kα (weighted mean of Kα1 and Kα2)), based on a crystal structure in OQMD, relaxed with GGA-PBE.
No peak broadening, texture or thermal motion is included.

```
data_DyY2Fe3Co6
_chemical_formula_sum 'Dy1 Y2 Fe3 Co6'
_space_group_name_H-M_alt 'P 1'
_space_group_IT_number 1
_cell_length_a 8.3932
_cell_length_b 8.3932
_cell_length_c 8.3932
_cell_angle_alpha 35.20
_cell_angle_beta 35.20
_cell_angle_gamma 35.20
loop_
_space_group_symop_operation_xyz
'x,y,z'
loop_
_atom_site_label
_atom_site_type_symbol
_atom_site_fract_x
_atom_site_fract_y
_atom_site_fract_z
_atom_site_occupancy
Dy1 Dy 0.0000 0.0000 0.0000 1
Y1 Y 0.1407 0.1407 0.1407 1
Y2 Y 0.8593 0.8593 0.8593 1
Fe1 Fe 0.3331 0.3331 0.3331 1
Fe2 Fe 0.5000 0.5000 0.5000 1
Fe3 Fe 0.6669 0.6669 0.6669 1
Co1 Co 0.0812 0.5815 0.5815 1
Co2 Co 0.4185 0.4185 0.9188 1
Co3 Co 0.4185 0.9188 0.4185 1
Co4 Co 0.5815 0.0812 0.5815 1
Co5 Co 0.5815 0.5815 0.0812 1
Co6 Co 0.9188 0.4185 0.4185 1
```

Top 6 peaks for 5° ≤ 2θ ≤ 70°, in order of falling intensity:
2theta	I_rel
42.39	100
35.37	41
41.26	40
33.50	35
36.69	31
68.32	23


# 10
RbAuI2Cl: computed powder diffraction line list (Cu Kα (weighted mean of Kα1 and Kα2)), based on a crystal structure in OQMD, relaxed with GGA-PBE.
No peak broadening, texture or thermal motion is included.

```
data_RbAuI2Cl
_chemical_formula_sum 'Rb2 Au2 I4 Cl2'
_space_group_name_H-M_alt 'P 1'
_space_group_IT_number 1
_cell_length_a 8.1418
_cell_length_b 8.1418
_cell_length_c 8.1418
_cell_angle_alpha 118.84
_cell_angle_beta 118.84
_cell_angle_gamma 92.02
loop_
_space_group_symop_operation_xyz
'x,y,z'
loop_
_atom_site_label
_atom_site_type_symbol
_atom_site_fract_x
_atom_site_fract_y
_atom_site_fract_z
_atom_site_occupancy
Rb1 Rb 0.2500 0.7500 0.5000 1
Rb2 Rb 0.7500 0.2500 0.5000 1
Au1 Au 0.0000 0.0000 0.0000 1
Au2 Au 0.5000 0.5000 0.0000 1
I1 I 0.2308 0.2308 0.4616 1
I2 I 0.2308 0.7692 0.0000 1
I3 I 0.7692 0.2308 0.0000 1
I4 I 0.7692 0.7692 0.5384 1
Cl1 Cl 0.2940 0.2940 0.0000 1
Cl2 Cl 0.7060 0.7060 0.0000 1
```

Top 6 peaks for 5° ≤ 2θ ≤ 70°, in order of falling intensity:
2theta	I_rel
30.52	100
21.85	95
15.67	85
44.54	65
34.49	47
31.65	45


# 11
PrY2Mg4Tl2: computed powder diffraction line list (Cu Kα (weighted mean of Kα1 and Kα2)), based on a crystal structure in OQMD, relaxed with GGA-PBE.
No peak broadening, texture or thermal motion is included.

```
data_PrY2Mg4Tl2
_chemical_formula_sum 'Pr1 Y2 Mg4 Tl2'
_space_group_name_H-M_alt 'P 1'
_space_group_IT_number 1
_cell_length_a 4.6985
_cell_length_b 7.6830
_cell_length_c 7.6830
_cell_angle_alpha 120.91
_cell_angle_beta 90.00
_cell_angle_gamma 90.00
loop_
_space_group_symop_operation_xyz
'x,y,z'
loop_
_atom_site_label
_atom_site_type_symbol
_atom_site_fract_x
_atom_site_fract_y
_atom_site_fract_z
_atom_site_occupancy
Pr1 Pr 0.0000 0.0000 0.0000 1
Y1 Y 0.0000 0.4284 0.8620 1
Y2 Y 0.0000 0.8620 0.4284 1
Mg1 Mg 0.0000 0.4388 0.4388 1
Mg2 Mg 0.5000 0.1899 0.4315 1
Mg3 Mg 0.5000 0.4315 0.1899 1
Mg4 Mg 0.5000 0.6747 0.6747 1
Tl1 Tl 0.5000 0.0980 0.7583 1
Tl2 Tl 0.5000 0.7583 0.0980 1
```

Top 6 peaks for 5° ≤ 2θ ≤ 70°, in order of falling intensity:
2theta	I_rel
30.05	100
13.43	74
33.20	68
30.31	41
23.15	35
32.89	32


# 12
Zr4Si3Ge: computed powder diffraction line list (Cu Kα (weighted mean of Kα1 and Kα2)), based on a crystal structure in OQMD, relaxed with GGA-PBE.
No peak broadening, texture or thermal motion is included.

```
data_Zr4Si3Ge
_chemical_formula_sum 'Zr4 Si3 Ge1'
_space_group_name_H-M_alt 'P 1'
_space_group_IT_number 1
_cell_length_a 5.3537
_cell_length_b 3.8477
_cell_length_c 7.0366
_cell_angle_alpha 90.00
_cell_angle_beta 90.07
_cell_angle_gamma 90.00
loop_
_space_group_symop_operation_xyz
'x,y,z'
loop_
_atom_site_label
_atom_site_type_symbol
_atom_site_fract_x
_atom_site_fract_y
_atom_site_fract_z
_atom_site_occupancy
Zr1 Zr 0.0000 0.0000 0.0000 1
Zr2 Zr 0.2427 0.0000 0.5048 1
Zr3 Zr 0.4941 0.5000 0.8500 1
Zr4 Zr 0.7430 0.5000 0.3607 1
Si1 Si 0.0065 0.5000 0.7212 1
Si2 Si 0.2217 0.5000 0.2245 1
Si3 Si 0.7319 0.0000 0.6376 1
Ge1 Ge 0.5151 0.0000 0.1348 1
```

Top 6 peaks for 5° ≤ 2θ ≤ 70°, in order of falling intensity:
2theta	I_rel
34.54	100
35.89	88
31.33	80
38.53	73
43.13	73
42.06	42